1.
The following is a simulated powder diffractogram of Rb4VSe4. It was derived from DFT lattice parameters and positions (PBE), using Cu Kα, 1.54184 Å.
Kinematic intensities with the Lorentz-polarization factor, no thermal factor.

Crystal structure
Lattice parameters (Å, degrees): 8.8530 8.8530 8.8530 125.79 125.79 80.23
Fractional coordinates of all 9 atoms:
Rb (0.0000, 0.5000, 0.5000)
Rb (0.1997, 0.1997, 0.0000)
Rb (0.5000, 0.0000, 0.5000)
Rb (0.8003, 0.8003, 0.0000)
V (0.5000, 0.5000, 0.0000)
Se (0.2277, 0.2277, 0.6593)
Se (0.4316, 0.7723, 0.0000)
Se (0.5684, 0.5684, 0.3407)
Se (0.7723, 0.4316, 0.0000)

The 8 most intense peaks (2θ = 10–80°), by angle:
2θ (°), d_spacing, Rel. int.
12.77, 6.930, 38
13.08, 6.770, 19
20.36, 4.362, 100
25.55, 3.486, 25
31.36, 2.852, 36
31.75, 2.818, 56
34.59, 2.593, 40
37.68, 2.387, 34

2.
The following is a simulated powder diffractogram of Rb3VSe3. It was derived from DFT lattice parameters and positions (PBE), using Cu Kα, 1.54184 Å.
Kinematic intensities with the Lorentz-polarization factor, no thermal factor.

Crystal structure
Lattice parameters (Å, degrees): 8.4107 13.7896 10.9880 90.00 128.29 90.00
Fractional coordinates of all 28 atoms:
Rb (0.0987, 0.1446, 0.4746)
Rb (0.0987, 0.3554, 0.9746)
Rb (0.1459, 0.0624, 0.8953)
Rb (0.1459, 0.4376, 0.3953)
Rb (0.3770, 0.6979, 0.5928)
Rb (0.3770, 0.8021, 0.0928)
Rb (0.6230, 0.1979, 0.9072)
Rb (0.6230, 0.3021, 0.4072)
Rb (0.8541, 0.5624, 0.6047)
Rb (0.8541, 0.9376, 0.1047)
Rb (0.9013, 0.6446, 0.0254)
Rb (0.9013, 0.8554, 0.5254)
V (0.4444, 0.0462, 0.3620)
V (0.4444, 0.4538, 0.8620)
V (0.5556, 0.5462, 0.1380)
V (0.5556, 0.9538, 0.6380)
Se (0.1561, 0.1529, 0.1960)
Se (0.1561, 0.3471, 0.6960)
Se (0.3530, 0.6173, 0.8793)
Se (0.3530, 0.8827, 0.3793)
Se (0.3771, 0.5373, 0.2433)
Se (0.3771, 0.9627, 0.7433)
Se (0.6229, 0.0373, 0.2567)
Se (0.6229, 0.4627, 0.7567)
Se (0.6470, 0.1173, 0.6207)
Se (0.6470, 0.3827, 0.1207)
Se (0.8439, 0.6529, 0.3040)
Se (0.8439, 0.8471, 0.8040)

The 8 most intense peaks (2θ = 10–80°), by angle:
2θ (°), d_spacing, Rel. int.
25.27, 3.524, 30
26.36, 3.382, 53
27.79, 3.210, 100
28.04, 3.182, 87
28.17, 3.167, 45
28.68, 3.113, 37
29.00, 3.079, 78
33.73, 2.657, 50